# PmSbHRh2
Simulated X-ray diffraction stick pattern, Cu Kα, 1.54184 Å. Input: a cell relaxed with GGA-PBE.

Structure:
Cell: 4.055 11.242 7.470 Å, 90.00 90.00 90.00°
Space group Cmcm (No. 63)
One atom of each set of equivalent atoms:
1 Pm 0.000 0.057 0.250 [4 per cell]
2 Sb 0.000 0.222 0.750 [4 per cell]
3 H 0.000 0.500 0.000 [4 per cell]
4 Rh 0.000 0.348 0.050 [8 per cell]

Main lines, by angle (10 to 90 degrees two-theta):
2theta	I/Imax
32.5	35.3
33.6	100.0
34.1	49.8
34.7	86.1
39.6	22.0
40.2	26.9
43.4	30.5
44.7	38.3
57.4	22.1
62.2	22.8

# La2CdAgIr
Simulated X-ray diffraction stick pattern, Cu Kα, 1.54184 Å. Input: a cell relaxed with GGA-PBE.

Structure:
Cell: 7.894 4.320 8.279 Å, 90.00 110.21 90.00°
Space group P2_1/m (No. 11)
One atom of each set of equivalent atoms:
1 La 0.030 0.250 0.227 [2 per cell]
2 La 0.347 0.750 0.615 [2 per cell]
3 Cd 0.347 0.250 0.955 [2 per cell]
4 Ag 0.328 0.750 0.189 [2 per cell]
5 Ir 0.105 0.250 0.617 [2 per cell]

Main lines, by angle (10 to 90 degrees two-theta):
2theta	I/Imax
13.4	60.2
29.4	48.2
30.9	100.0
31.8	61.3
34.1	57.5
36.2	76.0
38.7	54.6
40.7	33.5
41.8	57.1
49.6	29.8

# Er5Tc2Hg2
Simulated X-ray diffraction stick pattern, Cu Kα, 1.54184 Å. Input: a cell relaxed with GGA-PBE.

Structure:
Cell: 16.539 7.278 7.405 Å, 90.00 90.00 90.00°
Space group Cmce (No. 64)
One atom of each set of equivalent atoms:
1 Er 0.000 0.000 0.000 [4 per cell]
2 Er 0.125 0.179 0.321 [16 per cell]
3 Tc 0.000 0.113 0.619 [8 per cell]
4 Hg 0.222 0.000 0.000 [8 per cell]

Main lines, by angle (10 to 90 degrees two-theta):
2theta	I/Imax
31.6	55.1
32.1	50.0
32.5	100.0
32.8	98.9
34.6	70.8
35.0	70.6
38.9	40.9
39.5	36.7
43.8	31.3
60.4	35.0

# PrNd2SmY5
Simulated X-ray diffraction stick pattern, Cu Kα, 1.54184 Å. Input: a cell relaxed with GGA-PBE.

Structure:
Cell: 8.794 8.794 15.655 Å, 90.00 90.00 90.00°
Space group I4/mcm (No. 140)
One atom of each set of equivalent atoms:
1 Pr 0.000 0.000 0.250 [4 per cell]
2 Nd 0.117 0.383 0.000 [8 per cell]
3 Sm 0.000 0.500 0.250 [4 per cell]
4 Y 0.000 0.000 0.000 [4 per cell]
5 Y 0.208 0.292 0.363 [16 per cell]

Main lines, by angle (10 to 90 degrees two-theta):
2theta	I/Imax
28.4	55.4
28.7	50.3
30.6	100.0
34.2	13.6
36.7	16.8
37.3	23.4
42.7	29.2
46.4	14.6
52.0	22.1
55.5	13.4

# MnAs2Pd7
Simulated X-ray diffraction stick pattern, Cu Kα, 1.54184 Å. Input: a cell relaxed with GGA-PBE.

Structure:
Cell: 4.013 4.013 20.312 Å, 90.00 90.00 90.00°
Space group I4/mmm (No. 139)
One atom of each set of equivalent atoms:
1 Mn 0.000 0.000 0.000 [2 per cell]
2 As 0.000 0.000 0.330 [4 per cell]
3 Pd 0.000 0.000 0.500 [2 per cell]
4 Pd 0.000 0.500 0.097 [8 per cell]
5 Pd 0.000 0.500 0.250 [4 per cell]

Main lines, by angle (10 to 90 degrees two-theta):
2theta	I/Imax
22.6	9.6
26.3	8.0
31.5	14.1
36.3	7.8
41.5	100.0
45.2	43.9
54.2	7.8
65.8	13.9
73.1	12.5
80.9	27.4

# Cu3Pt3Se8
Simulated X-ray diffraction stick pattern, Cu Kα, 1.54184 Å. Input: a cell relaxed with GGA-PBE.

Structure:
Cell: 7.5264 7.5264 18.6993 Å, 90.00 90.00 120.00°
Space group R-3m (No. 166, hexagonal axes)
One atom of each set of equivalent atoms:
1 Cu 0.0000 0.0000 0.0000 [3 per cell]
2 Cu 0.0000 0.0000 0.4263 [6 per cell]
3 Pt 0.0000 0.5000 0.5000 [9 per cell]
4 Se 0.0000 0.0000 0.2364 [6 per cell]
5 Se 0.0293 0.5147 0.7559 [18 per cell]

Main lines, by angle (10 to 90 degrees two-theta):
2theta	I/Imax
14.2	68.6
14.4	21.3
27.8	49.2
33.5	100.0
44.0	16.2
47.9	29.8
48.4	45.4
50.7	18.2
60.1	17.2
79.9	16.3